No. 1
Starting from a DFT-relaxed cell (PBE+U, the Materials Project), the XRD peak list of LiVSiO4 was computed for Cu Kα.

Principal peaks in the range 2θ from 10° to 90°, low angle first:
2θ (°)	I (rel.)
18.47	100
19.66	71
21.75	98
34.37	79
35.69	21
41.07	19
51.71	25
54.62	14
61.61	34
68.82	14

Cell and atoms:
```
14
Lattice="5.2119 0.0000 0.0000 2.6036 4.5161 0.0000 0.0041 0.0009 9.6064" Properties=species:S:1:pos:R:3 pbc="T T T"
Li 0.0000 0.0000 0.0000
Li 2.6077 4.5153 4.8031
V 2.6090 1.5036 3.7601
V 5.2145 3.0098 8.5634
Si 2.6072 1.5047 0.2748
Si 5.2137 3.0092 5.0776
O 1.0547 1.5545 9.3338
O 2.6140 1.5006 1.8995
O 3.4275 2.8315 9.3323
O 4.4771 4.3788 4.5228
O 3.3469 0.1369 9.3228
O 4.3960 1.6842 4.5282
O 5.2144 3.0052 6.7028
O 6.7685 2.9621 4.5250
```

No. 2
Starting from a DFT-relaxed cell (PBE+U, the Materials Project), the XRD peak list of TiMn2V3P6O24 was computed for Cu Kα.

Principal peaks in the range 2θ from 10° to 90°, low angle first:
2θ (°)	I (rel.)
20.54	72
24.12	100
25.22	15
31.91	16
32.68	70
35.99	30
46.90	26
49.40	25
56.28	33
62.60	17

Cell and atoms:
```
36
Lattice="4.3224 2.4955 7.0875 -4.3224 2.4955 7.0875 0.0000 -4.9911 7.0875" Properties=species:S:1:pos:R:3 pbc="T T T"
Ti 0.0000 0.0000 0.0000
Mn 0.0000 0.0000 3.1094
Mn 0.0000 0.0000 13.7290
V 0.0000 0.0000 6.1785
V 0.0000 0.0000 10.6664
V 0.0000 0.0000 16.7749
P -2.5247 0.0027 8.4151
P -1.7967 -2.4978 11.9465
P 1.2600 -2.1878 8.4151
P -1.2648 2.8049 11.9464
P 1.2647 2.1851 8.4151
P 3.0615 -0.3071 11.9465
O -2.6512 -2.5283 10.6811
O -0.6169 -1.3897 4.7976
O -3.4383 1.2710 8.4782
O -1.6760 -0.0304 7.1375
O -2.6970 -2.4804 13.2136
O -0.8951 1.2292 4.7976
O 0.6184 -3.6131 8.4782
O -1.6811 0.0394 9.6915
O 0.8644 -1.4362 7.1376
O -0.9078 -1.2316 12.0628
O 1.5120 0.1606 4.7976
O 0.8064 -1.4756 9.6915
O 0.8116 1.4667 7.1376
O -1.5138 0.1389 15.4181
O -0.6127 1.4020 12.0628
O -0.8639 3.5602 10.6811
O 0.8747 1.4362 9.6915
O 0.6366 -1.3804 15.4181
O 1.5205 -0.1704 12.0628
O -0.7996 3.5759 13.2136
O 3.5152 -1.0319 10.6811
O 2.8198 2.3421 8.4782
O 0.8772 1.2416 15.4181
O 3.4966 -1.0955 13.2136
```